This entry pairs a crystal structure of La5Sm2Tm3 with its computed powder diffraction line list. Radiation: λ = 1.5418 Å (Cu Kα). Structure: DFT lattice parameters and positions (GGA-PBE).

Most intense lines, 5 to 70 degrees two-theta, in order of rising 2θ:
Position (°2θ)  Rel. int.
29.04  93.2
30.85  100.0
31.81  22.1
32.75  47.2
33.56  19.1
35.41  26.6
48.54  22.2
57.27  17.3
59.79  23.7
61.89  25.9

Atomic structure:
```
La5Sm2Tm3
1.0
5.469 -7.453 0.000
5.469 7.453 0.000
-5.467 0.000 8.581
La Sm Tm
10 4 6
direct
0.023 0.977 0.750
0.130 0.369 0.751
0.231 0.769 0.750
0.273 0.727 0.250
0.369 0.130 0.251
0.631 0.870 0.749
0.727 0.273 0.750
0.769 0.231 0.250
0.870 0.631 0.249
0.977 0.023 0.250
0.224 0.465 0.439
0.465 0.224 0.939
0.535 0.776 0.061
0.776 0.535 0.561
0.034 0.281 0.058
0.281 0.034 0.558
0.480 0.520 0.250
0.520 0.480 0.750
0.719 0.966 0.442
0.966 0.719 0.942
```